No. 1
For Nd4CdAu5, a DFT-relaxed cell (PBE, Alexandria) gives the theoretical XRD peak list in this record (Cu Ka).

Most intense lines, 2θ from 10° to 90°, sorted by position:
| Position (°2θ) | I (rel.) |
| --- | --- |
| 34.5 | 55 |
| 34.7 | 100 |
| 49.5 | 20 |
| 61.9 | 38 |
| 62.4 | 15 |
| 73.2 | 9 |

Cell and atoms:
a = 3.681 Å, b = 3.681 Å, c = 18.158 Å
α = 90.00°, β = 90.00°, γ = 90.00°
Element x y z (fractional)
1 Nd 0.000 0.000 0.104
2 Nd 0.000 0.000 0.314
3 Nd 0.000 0.000 0.686
4 Nd 0.000 0.000 0.896
5 Cd 0.000 0.000 0.500
6 Au 0.500 0.500 0.000
7 Au 0.500 0.500 0.206
8 Au 0.500 0.500 0.410
9 Au 0.500 0.500 0.590
10 Au 0.500 0.500 0.794

No. 2
For PrNi6Rh2, a DFT-relaxed cell (PBE, Alexandria) gives the theoretical XRD peak list in this record (Cu Ka).

Most intense lines, 2θ from 10° to 90°, sorted by position:
| Position (°2θ) | I (rel.) |
| --- | --- |
| 29.0 | 45 |
| 33.9 | 21 |
| 37.6 | 100 |
| 42.8 | 80 |
| 43.3 | 50 |
| 63.2 | 21 |

Cell and atoms:
a = 6.505 Å, b = 6.505 Å, c = 6.505 Å
α = 142.50°, β = 124.39°, γ = 69.01°
Element x y z (fractional)
1 Pr 0.000 0.000 0.000
2 Ni 0.088 0.284 0.803
3 Ni 0.314 0.500 0.814
4 Ni 0.481 0.284 0.197
5 Ni 0.519 0.716 0.803
6 Ni 0.686 0.500 0.186
7 Ni 0.912 0.716 0.197
8 Rh 0.377 0.877 0.500
9 Rh 0.623 0.123 0.500

No. 3
For RbSm2Ag3Te5, a DFT-relaxed cell (PBE, Alexandria) gives the theoretical XRD peak list in this record (Cu Ka).

Most intense lines, 2θ from 10° to 90°, sorted by position:
| Position (°2θ) | I (rel.) |
| --- | --- |
| 25.8 | 76 |
| 27.1 | 81 |
| 31.9 | 100 |
| 35.1 | 68 |
| 38.9 | 95 |
| 42.6 | 67 |

Cell and atoms:
a = 8.456 Å, b = 8.456 Å, c = 18.651 Å
α = 90.00°, β = 90.00°, γ = 148.25°
Element x y z (fractional)
1 Rb 0.058 0.942 0.750
2 Rb 0.942 0.058 0.250
3 Sm 0.189 0.811 0.094
4 Sm 0.189 0.811 0.406
5 Sm 0.811 0.189 0.594
6 Sm 0.811 0.189 0.906
7 Ag 0.336 0.664 0.750
8 Ag 0.412 0.588 0.028
9 Ag 0.412 0.588 0.472
10 Ag 0.588 0.412 0.528
11 Ag 0.588 0.412 0.972
12 Ag 0.664 0.336 0.250
13 Te 0.174 0.826 0.574
14 Te 0.174 0.826 0.926
15 Te 0.260 0.740 0.250
16 Te 0.441 0.559 0.622
17 Te 0.441 0.559 0.878
18 Te 0.559 0.441 0.122
19 Te 0.559 0.441 0.378
20 Te 0.740 0.260 0.750
21 Te 0.826 0.174 0.074
22 Te 0.826 0.174 0.426

No. 4
For Ti3S4O2, a DFT-relaxed cell (PBE, Alexandria) gives the theoretical XRD peak list in this record (Cu Ka).

Most intense lines, 2θ from 10° to 90°, sorted by position:
| Position (°2θ) | I (rel.) |
| --- | --- |
| 13.8 | 100 |
| 32.7 | 31 |
| 37.8 | 27 |
| 40.5 | 25 |
| 46.9 | 24 |
| 58.4 | 19 |

Cell and atoms:
a = 3.162 Å, b = 3.162 Å, c = 19.201 Å
α = 90.00°, β = 90.00°, γ = 120.00°
Element x y z (fractional)
1 Ti 0.000 0.000 0.000
2 Ti 0.000 0.000 0.332
3 Ti 0.667 0.333 0.689
4 S 0.000 0.000 0.608
5 S 0.000 0.000 0.770
6 S 0.667 0.333 0.251
7 S 0.667 0.333 0.413
8 O 0.667 0.333 0.058
9 O 0.667 0.333 0.942